# K3Ga8Ge3
Calculated powder diffraction line list, Cu Kα, 1.54184 Å. Input: a DFT-relaxed cell (PBE, Alexandria).
Lines closer than 0.1° are merged.

```
K3Ga8Ge3
1.0
-2.318 5.150 6.674
2.318 -5.150 6.674
2.318 5.150 -6.674
K Ga Ge
3 8 3
direct
0.000 0.000 0.000
0.311 0.311 0.000
0.689 0.689 0.000
0.031 0.662 0.369
0.124 0.851 0.273
0.293 0.662 0.631
0.421 0.149 0.273
0.579 0.851 0.727
0.707 0.338 0.369
0.876 0.149 0.727
0.969 0.338 0.631
0.291 0.500 0.791
0.500 0.000 0.500
0.709 0.500 0.209
```

Largest 6 diffraction maxima, by intensity, 2θ = 15–90°:
d (Å)  intensity
2.724  1000
2.317  436
2.225  277
2.550  267
2.009  199
2.126  197